For La2ZnGa6Co, a crystal structure in Alexandria, relaxed with GGA-PBE gives the theoretical PXRD pattern in this record (Cu Kα (λ = 1.5418 Å)).
Lines closer than 0.1° are merged.

Most intense lines, 2θ from 15° to 90°, sorted by position:
3.346 Å, 26.64°, intensity 490; 2.732 Å, 32.78°, intensity 937; 2.366 Å, 38.03°, intensity 1000; 1.932 Å, 47.04°, intensity 203; 1.673 Å, 54.88°, intensity 671; 1.496 Å, 62.02°, intensity 90; 1.427 Å, 65.41°, intensity 370; 1.366 Å, 68.71°, intensity 221; 1.265 Å, 75.12°, intensity 100; 1.183 Å, 81.33°, intensity 102

Structural model:
a = 6.692 Å, b = 6.692 Å, c = 6.692 Å
α = 60.00°, β = 60.00°, γ = 60.00°
Fractional coordinates of all 10 atoms:
La1 0.250 0.250 0.250
La2 0.750 0.750 0.750
Zn1 0.000 0.000 0.000
Ga1 0.256 0.256 0.744
Ga2 0.256 0.744 0.256
Ga3 0.256 0.744 0.744
Ga4 0.744 0.256 0.256
Ga5 0.744 0.256 0.744
Ga6 0.744 0.744 0.256
Co1 0.500 0.500 0.500



For Li2Ga2Co, a crystal structure in Alexandria, relaxed with GGA-PBE gives the theoretical PXRD pattern in this record (Cu Kα (λ = 1.5418 Å)).
Lines closer than 0.1° are merged.

Most intense lines, 2θ from 15° to 90°, sorted by position:
4.678 Å, 18.97°, intensity 1000; 3.664 Å, 24.29°, intensity 170; 2.339 Å, 38.48°, intensity 236; 2.197 Å, 41.08°, intensity 345; 2.177 Å, 41.49°, intensity 524; 2.023 Å, 44.80°, intensity 130; 1.883 Å, 48.34°, intensity 165; 1.842 Å, 49.47°, intensity 269; 1.832 Å, 49.77°, intensity 115; 1.769 Å, 51.66°, intensity 117

Structural model:
a = 10.993 Å, b = 5.170 Å, c = 5.411 Å
α = 90.00°, β = 90.00°, γ = 90.00°
Fractional coordinates of all 20 atoms:
Li1 0.045 0.250 0.000
Li2 0.045 0.250 0.500
Li3 0.300 0.250 0.000
Li4 0.300 0.250 0.500
Li5 0.700 0.750 0.000
Li6 0.700 0.750 0.500
Li7 0.955 0.750 0.000
Li8 0.955 0.750 0.500
Ga1 0.174 0.706 0.250
Ga2 0.174 0.794 0.750
Ga3 0.500 0.001 0.750
Ga4 0.500 0.499 0.250
Ga5 0.500 0.501 0.750
Ga6 0.500 0.999 0.250
Ga7 0.826 0.206 0.250
Ga8 0.826 0.294 0.750
Co1 0.358 0.750 0.000
Co2 0.358 0.750 0.500
Co3 0.642 0.250 0.000
Co4 0.642 0.250 0.500



For LiGa4Co3, a crystal structure in Alexandria, relaxed with GGA-PBE gives the theoretical PXRD pattern in this record (Cu Kα (λ = 1.5418 Å)).
Lines closer than 0.1° are merged.

Most intense lines, 2θ from 15° to 90°, sorted by position:
2.925 Å, 30.57°, intensity 60; 2.075 Å, 43.61°, intensity 255; 2.061 Å, 43.93°, intensity 254; 2.054 Å, 44.09°, intensity 1000; 1.462 Å, 63.63°, intensity 156; 1.442 Å, 64.62°, intensity 76; 1.194 Å, 80.43°, intensity 150; 1.189 Å, 80.88°, intensity 153; 1.184 Å, 81.22°, intensity 75; 1.182 Å, 81.44°, intensity 76

Structural model:
a = 2.885 Å, b = 4.122 Å, c = 8.301 Å
α = 90.00°, β = 90.00°, γ = 90.00°
Fractional coordinates of all 8 atoms:
Li1 0.000 0.000 0.000
Ga1 0.500 0.000 0.259
Ga2 0.500 0.000 0.741
Ga3 0.500 0.500 0.000
Ga4 0.500 0.500 0.500
Co1 0.000 0.000 0.500
Co2 0.000 0.500 0.245
Co3 0.000 0.500 0.755



For MgGa4Co, a crystal structure in Alexandria, relaxed with GGA-PBE gives the theoretical PXRD pattern in this record (Cu Kα (λ = 1.5418 Å)).
Lines closer than 0.1° are merged.

Most intense lines, 2θ from 15° to 90°, sorted by position:
5.046 Å, 17.57°, intensity 408; 2.525 Å, 35.56°, intensity 1000; 2.448 Å, 36.72°, intensity 189; 2.364 Å, 38.06°, intensity 706; 2.100 Å, 43.08°, intensity 903; 2.055 Å, 44.06°, intensity 796; 1.912 Å, 47.56°, intensity 273; 1.893 Å, 48.05°, intensity 728; 1.392 Å, 67.28°, intensity 198; 1.121 Å, 86.85°, intensity 232

Structural model:
a = 7.916 Å, b = 3.787 Å, c = 6.550 Å
α = 90.00°, β = 90.00°, γ = 90.00°
Fractional coordinates of all 12 atoms:
Mg1 0.250 0.000 0.091
Mg2 0.750 0.000 0.909
Ga1 0.000 0.000 0.500
Ga2 0.066 0.500 0.815
Ga3 0.250 0.500 0.429
Ga4 0.434 0.500 0.815
Ga5 0.500 0.000 0.500
Ga6 0.566 0.500 0.185
Ga7 0.750 0.500 0.571
Ga8 0.934 0.500 0.185
Co1 0.250 0.000 0.691
Co2 0.750 0.000 0.309



For MgGa2Co2, a crystal structure in Alexandria, relaxed with GGA-PBE gives the theoretical PXRD pattern in this record (Cu Kα (λ = 1.5418 Å)).
Lines closer than 0.1° are merged.

Most intense lines, 2θ from 15° to 90°, sorted by position:
3.632 Å, 24.51°, intensity 616; 2.897 Å, 30.86°, intensity 71; 2.097 Å, 43.15°, intensity 973; 2.004 Å, 45.25°, intensity 1000; 1.816 Å, 50.25°, intensity 84; 1.580 Å, 58.42°, intensity 67; 1.449 Å, 64.30°, intensity 329; 1.211 Å, 79.12°, intensity 148; 1.192 Å, 80.61°, intensity 333; 1.141 Å, 85.04°, intensity 124

Structural model:
a = 4.193 Å, b = 4.193 Å, c = 4.806 Å
α = 90.00°, β = 90.00°, γ = 120.00°
Fractional coordinates of all 5 atoms:
Mg1 0.000 0.000 0.000
Ga1 0.333 0.667 0.660
Ga2 0.667 0.333 0.340
Co1 0.333 0.667 0.159
Co2 0.667 0.333 0.841



For Mg2Ga2Co5Si, a crystal structure in Alexandria, relaxed with GGA-PBE gives the theoretical PXRD pattern in this record (Cu Kα (λ = 1.5418 Å)).
Lines closer than 0.1° are merged.

Most intense lines, 2θ from 15° to 90°, sorted by position:
4.250 Å, 20.90°, intensity 543; 2.305 Å, 39.08°, intensity 247; 2.240 Å, 40.27°, intensity 306; 2.097 Å, 43.13°, intensity 1000; 1.959 Å, 46.34°, intensity 377; 1.845 Å, 49.40°, intensity 157; 1.811 Å, 50.38°, intensity 158; 1.765 Å, 51.81°, intensity 173; 1.465 Å, 63.53°, intensity 131; 1.337 Å, 70.43°, intensity 93

Structural model:
a = 9.503 Å, b = 9.503 Å, c = 2.929 Å
α = 90.00°, β = 90.00°, γ = 90.00°
Fractional coordinates of all 20 atoms:
Mg1 0.168 0.332 0.000
Mg2 0.332 0.832 0.000
Mg3 0.668 0.168 0.000
Mg4 0.832 0.668 0.000
Ga1 0.134 0.634 0.000
Ga2 0.366 0.134 0.000
Ga3 0.634 0.866 0.000
Ga4 0.866 0.366 0.000
Co1 0.000 0.500 0.500
Co2 0.060 0.817 0.500
Co3 0.183 0.060 0.500
Co4 0.317 0.560 0.500
Co5 0.440 0.317 0.500
Co6 0.500 0.000 0.500
Co7 0.560 0.683 0.500
Co8 0.683 0.440 0.500
Co9 0.817 0.940 0.500
Co10 0.940 0.183 0.500
Si1 0.000 0.000 0.000
Si2 0.500 0.500 0.000